Record 1
# Sr2YPuO6
Simulated powder diffractogram, CuKα. Input: a cell relaxed with GGA-PBE.

Principal peaks in the range 2θ = 10–90°, sorted by position:
d_spacing  2θ (°)  I (rel.)  (hkl)
4.264  20.83  25  1 1 -1
3.051  29.28  24  0 2 0
3.014  29.64  100  1 1 1
2.985  29.93  23  2 0 -2
2.132  42.40  38  0 0 4
1.729  52.96  24  3 1 -5

Atomic structure:
Unit cell a=5.9699 b=6.1011 c=10.3937 alpha=90.00 beta=124.99 gamma=90.00
Space group P2_1/c (No. 14)
Asymmetric unit:
Sr1 0.2396 0.0436 0.2506
Y1 0.5000 0.0000 0.0000
Pu1 0.0000 0.0000 0.5000
O1 0.1422 0.2128 0.9456
O2 0.2377 0.6976 0.9503
O3 0.3396 0.0366 0.7422

***

Record 2
# PuTa3O9
Simulated powder diffractogram, CuKα. Input: a cell relaxed with GGA-PBE.

Principal peaks in the range 2θ = 10–90°, sorted by position:
d_spacing  2θ (°)  I (rel.)  (hkl)
3.368  26.47  100  1 0 -2
3.239  27.54  83  1 0 2
3.107  28.73  57  1 2 0
2.934  30.47  55  1 2 -1
2.890  30.95  89  1 2 1
2.707  33.09  60  2 0 0

Atomic structure:
Unit cell a=5.4181 b=7.5894 c=8.3392 alpha=90.00 beta=92.30 gamma=90.00
Space group P2_1/m (No. 11)
Asymmetric unit:
Pu1 0.0329 0.2500 0.4436
Ta1 0.0000 0.0000 0.0000
Ta2 0.4742 0.0053 0.6991
O1 0.0860 0.2500 0.9822
O2 0.1565 0.5574 0.7883
O3 0.2624 0.5386 0.4686
O4 0.3180 0.5485 0.1228
O5 0.3533 0.2500 0.6588
O6 0.4346 0.2500 0.3143

***

Record 3
# Pu4TaO10
Simulated powder diffractogram, CuKα. Input: a cell relaxed with GGA-PBE.

Principal peaks in the range 2θ = 10–90°, sorted by position:
d_spacing  2θ (°)  I (rel.)  (hkl)
3.074  29.05  100  1 2 1
2.662  33.67  37  3 1 0
1.882  48.36  48  3 1 2
1.605  57.41  46  5 0 1
1.221  78.28  19  5 0 3
1.190  80.72  15  6 2 2

Atomic structure:
Unit cell a=8.4156 b=8.4156 c=5.3257 alpha=90.00 beta=90.00 gamma=90.00
Space group I4/m (No. 87)
Asymmetric unit:
Pu1 0.0999 0.7013 0.0000
Ta1 0.0000 0.0000 0.5000
O1 0.0000 0.5000 0.2500
O2 0.0968 0.1865 0.2651

***

Record 4
# PuTa2O6
Simulated powder diffractogram, CuKα. Input: a cell relaxed with GGA-PBE.

Principal peaks in the range 2θ = 10–90°, sorted by position:
d_spacing  2θ (°)  I (rel.)  (hkl)
3.578  24.89  100  1 1 0
3.544  25.12  77  2 0 -2
3.127  28.54  75  2 0 1
2.928  30.54  38  1 1 1
2.671  33.55  70  1 1 -2
2.566  34.97  66  3 1 -1

Atomic structure:
Unit cell a=10.2387 b=3.8912 c=7.3930 alpha=90.00 beta=117.32 gamma=90.00
Space group C2/m (No. 12)
Asymmetric unit:
Pu1 0.0000 0.0000 0.0000
Ta1 0.1759 0.0000 0.6152
O1 0.0196 0.0000 0.6877
O2 0.1571 0.5000 0.1239
O3 0.2046 0.5000 0.5697

***

Record 5
# PuZrTaO6
Simulated powder diffractogram, CuKα. Input: a cell relaxed with GGA-PBE.

Principal peaks in the range 2θ = 10–90°, sorted by position:
d_spacing  2θ (°)  I (rel.)  (hkl)
3.416  26.09  100  1 0 2
2.718  32.95  42  1 1 0
2.127  42.50  27  2 0 2
1.833  49.76  39  1 1 4
1.675  54.81  26  2 1 2
1.569  58.85  14  3 0 0

Atomic structure:
Unit cell a=5.4362 b=5.4362 c=9.9256 alpha=90.00 beta=90.00 gamma=120.00
Space group P-31c (No. 163)
Asymmetric unit:
Pu1 0.0000 0.0000 0.0000
Zr1 0.3333 0.6667 0.2500
Ta1 0.3333 0.6667 0.7500
O1 0.0156 0.3651 0.6390

***

Record 6
# TbPuO5
Simulated powder diffractogram, CuKα. Input: a cell relaxed with GGA-PBE.

Principal peaks in the range 2θ = 10–90°, sorted by position:
d_spacing  2θ (°)  I (rel.)  (hkl)
4.164  21.34  86  2 0 0
3.439  25.91  100  1 1 -2
3.262  27.34  40  0 2 0
2.652  33.80  71  3 1 -2
2.568  34.94  29  2 2 0
1.781  51.29  31  5 1 -2

Atomic structure:
Unit cell a=9.2614 b=6.5242 c=8.0948 alpha=90.00 beta=115.94 gamma=90.00
Space group C2/c (No. 15)
Asymmetric unit:
Tb1 0.0000 0.0444 0.2500
Pu1 0.0000 0.5000 0.0000
O1 0.0000 0.3931 0.2500
O2 0.0075 0.1989 0.9635
O3 0.2276 0.4877 0.6168

***

Record 7
# Pu3ThTl4O12
Simulated powder diffractogram, CuKα. Input: a cell relaxed with GGA-PBE.

Principal peaks in the range 2θ = 10–90°, sorted by position:
d_spacing  2θ (°)  I (rel.)  (hkl)
3.086  28.93  100  2 2 0
2.182  41.37  26  4 0 0
1.782  51.27  43  4 2 2
1.543  59.94  17  4 4 0
1.380  67.91  19  6 2 0
1.167  82.73  23  6 4 2

Atomic structure:
Unit cell a=8.7298 b=8.7298 c=8.7298 alpha=90.00 beta=90.00 gamma=90.00
Space group Im-3m (No. 229)
Asymmetric unit:
Pu1 0.0000 0.0000 0.5000
Th1 0.0000 0.0000 0.0000
Tl1 0.2500 0.2500 0.2500
O1 0.0000 0.0000 0.2640
O2 0.0000 0.2500 0.5000

***

Record 8
# PuTl4O5
Simulated powder diffractogram, CuKα. Input: a cell relaxed with GGA-PBE.

Principal peaks in the range 2θ = 10–90°, sorted by position:
d_spacing  2θ (°)  I (rel.)  (hkl)
3.062  29.16  100  3 1 0
2.162  41.77  14  2 4 0
1.771  51.62  14  3 1 2
1.767  51.74  30  4 3 1
1.368  68.61  12  1 7 0
1.157  83.59  15  1 7 2

Atomic structure:
Unit cell a=9.6701 b=9.6701 c=4.3436 alpha=90.00 beta=90.00 gamma=90.00
Space group I4/m (No. 87)
Asymmetric unit:
Pu1 0.0000 0.0000 0.0000
Tl1 0.0928 0.6994 0.5000
O1 0.0000 0.0000 0.5000
O2 0.1430 0.8437 0.0000

***

Record 9
# Pu3TlO9
Simulated powder diffractogram, CuKα. Input: a cell relaxed with GGA-PBE.

Principal peaks in the range 2θ = 10–90°, sorted by position:
d_spacing  2θ (°)  I (rel.)  (hkl)
3.546  25.11  47  1 0 1
3.452  25.81  100  2 0 0
2.869  31.17  28  1 1 1
2.650  33.83  20  2 0 1
1.993  45.51  26  2 2 0
1.773  51.54  31  2 0 2

Atomic structure:
Unit cell a=7.9727 b=7.9727 c=4.1330 alpha=90.00 beta=90.00 gamma=120.00
Space group P6/mmm (No. 191)
Asymmetric unit:
Pu1 0.0000 0.5000 0.0000
Tl1 0.0000 0.0000 0.5000
O1 0.0000 0.5000 0.5000
O2 0.2056 0.4112 0.0000

***

Record 10
# Pu3Tl5O12
Simulated powder diffractogram, CuKα. Input: a cell relaxed with GGA-PBE.

Principal peaks in the range 2θ = 10–90°, sorted by position:
d_spacing  2θ (°)  I (rel.)  (hkl)
3.680  24.19  24  2 1 0
3.245  27.48  100  3 0 0
2.956  30.23  97  1 1 1
2.185  41.31  34  2 2 1
1.813  50.34  44  4 1 1
1.532  60.42  23  3 0 2

Atomic structure:
Unit cell a=11.2418 b=11.2418 c=3.4760 alpha=90.00 beta=90.00 gamma=120.00
Space group P-62m (No. 189)
Asymmetric unit:
Pu1 0.0000 0.6608 0.0000
Tl1 0.0000 0.2796 0.5000
Tl2 0.3333 0.6667 0.5000
O1 0.0000 0.5449 0.5000
O2 0.0000 0.7776 0.5000
O3 0.1944 0.7615 0.0000

***

Record 11
# PuTlO6
Simulated powder diffractogram, CuKα. Input: a cell relaxed with GGA-PBE.

Principal peaks in the range 2θ = 10–90°, sorted by position:
d_spacing  2θ (°)  I (rel.)  (hkl)
4.194  21.18  98  0 1 -1
4.144  21.44  100  1 0 0
3.664  24.30  58  -1 1 1
3.146  28.37  40  1 -1 1
2.807  31.88  39  1 0 -2
2.714  33.01  34  1 -2 0

Atomic structure:
Unit cell a=5.3930 b=5.4854 c=5.7151 alpha=98.06 beta=110.87 gamma=118.45
Space group P-1 (No. 2)
Asymmetric unit:
Pu1 0.0000 0.0000 0.0000
Tl1 0.0000 0.5000 0.5000
O1 0.0645 0.6272 0.1084
O2 0.1385 0.9217 0.7341
O3 0.4246 0.2953 0.2529